No. 1
Starting from the GGA-PBE geometry in the Materials Project, the PXRD pattern of Cr2InS4 was computed for Cu Kα (weighted mean of Kα1 and Kα2).
Lines closer than 0.1° are merged.

Cell and atoms:
Cell lengths 7.2527, 7.4583, 10.4538 Å; angles 90.00, 90.00, 90.00 degrees
Space group Imma (No. 74)
One atom of each set of equivalent atoms:
1 Cr 0.0000 0.2500 0.1292 (multiplicity 4)
2 Cr 0.2500 0.2500 0.7500 (multiplicity 4)
3 In 0.0000 0.0000 0.5000 (multiplicity 4)
4 S 0.0000 0.0248 0.7520 (multiplicity 8)
5 S 0.2484 0.2500 0.9838 (multiplicity 8)

The 10 most intense peaks (10° ≤ 2θ ≤ 90°), by intensity:
- 28.2 deg, I = 100, (1 2 1)
- 49.5 deg, I = 87, (2 2 4)
- 34.5 deg, I = 66, (2 2 0)
- 14.9 deg, I = 50, (1 0 1)
- 28.4 deg, I = 47, (1 0 3)
- 45.1 deg, I = 36, (1 0 5)
- 34.3 deg, I = 33, (0 0 4)
- 28.7 deg, I = 29, (2 1 1)
- 48.8 deg, I = 22, (0 4 0)
- 45.6 deg, I = 22, (3 2 1)



No. 2
Starting from the GGA-PBE geometry in the Materials Project, the PXRD pattern of CrIr was computed for Cu Kα (weighted mean of Kα1 and Kα2).
Lines closer than 0.1° are merged.

Cell and atoms:
Cell lengths 2.6853, 2.6853, 4.2230 Å; angles 90.00, 90.00, 120.00 degrees
Space group P-6m2 (No. 187)
One atom of each set of equivalent atoms:
1 Cr 0.0000 0.0000 0.0000 (multiplicity 1)
2 Ir 0.6667 0.3333 0.5000 (multiplicity 1)

The 10 most intense peaks (10° ≤ 2θ ≤ 90°), by intensity:
- 44.5 deg, I = 100, (1 0 1)
- 38.7 deg, I = 43, (1 0 0)
- 21.0 deg, I = 42, (0 0 1)
- 59.1 deg, I = 26, (1 0 2)
- 42.8 deg, I = 22, (0 0 2)
- 79.6 deg, I = 18, (1 0 3)
- 85.8 deg, I = 18, (1 1 2)
- 70.1 deg, I = 15, (1 1 0)
- 86.9 deg, I = 15, (2 0 1)
- 74.1 deg, I = 9, (1 1 1)



No. 3
Starting from the GGA-PBE geometry in the Materials Project, the PXRD pattern of Cr3Ir was computed for Cu Kα (weighted mean of Kα1 and Kα2).
Lines closer than 0.1° are merged.

Cell and atoms:
Cell lengths 4.6499, 4.6499, 4.6499 Å; angles 90.00, 90.00, 90.00 degrees
Space group Pm-3n (No. 223)
One atom of each set of equivalent atoms:
1 Cr 0.0000 0.2500 0.5000 (multiplicity 6)
2 Ir 0.0000 0.0000 0.0000 (multiplicity 2)

The 10 most intense peaks (10° ≤ 2θ ≤ 90°), by intensity:
- 47.9 deg, I = 100, (2 1 1)
- 27.1 deg, I = 71, (1 1 0)
- 76.7 deg, I = 49, (3 2 1)
- 38.7 deg, I = 46, (2 0 0)
- 43.5 deg, I = 25, (2 1 0)
- 63.2 deg, I = 15, (3 1 0)
- 55.9 deg, I = 11, (2 2 0)
- 89.4 deg, I = 10, (4 1 1)
- 83.1 deg, I = 10, (4 0 0)
- 73.4 deg, I = 4, (3 2 0)



No. 4
Starting from the GGA-PBE geometry in the Materials Project, the PXRD pattern of Cr3IrN was computed for Cu Kα (weighted mean of Kα1 and Kα2).
Lines closer than 0.1° are merged.

Cell and atoms:
Cell lengths 3.8171, 3.8171, 3.8171 Å; angles 90.00, 90.00, 90.00 degrees
Space group Pm-3m (No. 221)
One atom of each set of equivalent atoms:
1 Cr 0.0000 0.0000 0.5000 (multiplicity 3)
2 Ir 0.5000 0.5000 0.5000 (multiplicity 1)
3 N 0.0000 0.0000 0.0000 (multiplicity 1)

The 10 most intense peaks (10° ≤ 2θ ≤ 90°), by intensity:
- 41.0 deg, I = 100, (1 1 1)
- 47.6 deg, I = 55, (2 0 0)
- 33.2 deg, I = 52, (1 1 0)
- 23.3 deg, I = 40, (1 0 0)
- 84.1 deg, I = 35, (3 1 1)
- 69.7 deg, I = 33, (2 2 0)
- 59.3 deg, I = 21, (2 1 1)
- 53.7 deg, I = 20, (2 1 0)
- 88.8 deg, I = 12, (2 2 2)
- 74.6 deg, I = 10, (3 0 0)



No. 5
Starting from the GGA-PBE geometry in the Materials Project, the PXRD pattern of CrIrRu was computed for Cu Kα (weighted mean of Kα1 and Kα2).
Lines closer than 0.1° are merged.

Cell and atoms:
Cell lengths 5.8431, 5.8431, 5.8431 Å; angles 90.00, 90.00, 90.00 degrees
Space group F-43m (No. 216)
One atom of each set of equivalent atoms:
1 Cr 0.0000 0.0000 0.0000 (multiplicity 4)
2 Ir 0.0000 0.0000 0.5000 (multiplicity 4)
3 Ru 0.2500 0.2500 0.2500 (multiplicity 4)

The 10 most intense peaks (10° ≤ 2θ ≤ 90°), by intensity:
- 43.8 deg, I = 100, (2 2 0)
- 26.4 deg, I = 62, (1 1 1)
- 80.5 deg, I = 33, (4 2 2)
- 51.9 deg, I = 31, (3 1 1)
- 30.6 deg, I = 22, (2 0 0)
- 63.7 deg, I = 16, (4 0 0)
- 70.2 deg, I = 13, (3 3 1)
- 86.6 deg, I = 10, (5 1 1)
- 72.3 deg, I = 7, (4 2 0)
- 54.4 deg, I = 6, (2 2 2)



No. 6
Starting from the GGA-PBE geometry in the Materials Project, the PXRD pattern of Ti2CrIr was computed for Cu Kα (weighted mean of Kα1 and Kα2).
Lines closer than 0.1° are merged.

Cell and atoms:
Cell lengths 6.1388, 6.1388, 6.1388 Å; angles 90.00, 90.00, 90.00 degrees
Space group Fm-3m (No. 225)
One atom of each set of equivalent atoms:
1 Ti 0.2500 0.2500 0.2500 (multiplicity 8)
2 Cr 0.0000 0.0000 0.0000 (multiplicity 4)
3 Ir 0.0000 0.0000 0.5000 (multiplicity 4)

The 10 most intense peaks (10° ≤ 2θ ≤ 90°), by intensity:
- 41.6 deg, I = 100, (2 2 0)
- 25.1 deg, I = 40, (1 1 1)
- 75.9 deg, I = 32, (4 2 2)
- 29.1 deg, I = 25, (2 0 0)
- 49.2 deg, I = 21, (3 1 1)
- 60.3 deg, I = 16, (4 0 0)
- 68.3 deg, I = 10, (4 2 0)
- 66.4 deg, I = 9, (3 3 1)
- 51.6 deg, I = 7, (2 2 2)
- 81.5 deg, I = 7, (5 1 1)



No. 7
Starting from the GGA-PBE geometry in the Materials Project, the PXRD pattern of KMg14Cr was computed for Cu Kα (weighted mean of Kα1 and Kα2).
Lines closer than 0.1° are merged.

Cell and atoms:
Cell lengths 6.4583, 6.4583, 10.5188 Å; angles 90.00, 90.00, 120.00 degrees
Space group P-6m2 (No. 187)
One atom of each set of equivalent atoms:
1 K 0.0000 0.0000 0.0000 (multiplicity 1)
2 Mg 0.0047 0.5023 0.0000 (multiplicity 3)
3 Mg 0.1683 0.3366 0.2661 (multiplicity 6)
4 Mg 0.5008 0.0016 0.5000 (multiplicity 3)
5 Mg 0.6667 0.3333 0.2449 (multiplicity 2)
6 Cr 0.0000 0.0000 0.5000 (multiplicity 1)

The 10 most intense peaks (10° ≤ 2θ ≤ 90°), by intensity:
- 36.4 deg, I = 100, (2 0 2)
- 34.1 deg, I = 26, (0 0 4)
- 32.0 deg, I = 25, (2 0 0)
- 68.2 deg, I = 18, (2 2 4)
- 57.0 deg, I = 17, (2 2 0)
- 62.5 deg, I = 17, (2 0 6)
- 47.5 deg, I = 15, (2 0 4)
- 69.6 deg, I = 13, (4 0 2)
- 89.7 deg, I = 6, (4 0 6)
- 15.8 deg, I = 5, (1 0 0)



No. 8
Starting from the GGA-PBE geometry in the Materials Project, the PXRD pattern of KMg14Cr was computed for Cu Kα (weighted mean of Kα1 and Kα2).
Lines closer than 0.1° are merged.

Cell and atoms:
Cell lengths 10.5109, 6.5228, 11.2185 Å; angles 90.00, 90.00, 90.00 degrees
Space group Amm2 (No. 38)
One atom of each set of equivalent atoms:
1 K 0.0000 0.0000 0.0000 (multiplicity 2)
2 Mg 0.0000 0.2474 0.2508 (multiplicity 4)
3 Mg 0.2431 0.0000 0.6644 (multiplicity 4)
4 Mg 0.2572 0.2407 0.4155 (multiplicity 8)
5 Mg 0.2626 0.0000 0.1706 (multiplicity 4)
6 Mg 0.5000 0.0000 0.4999 (multiplicity 2)
7 Mg 0.5000 0.0000 0.9992 (multiplicity 2)
8 Mg 0.5000 0.2491 0.7499 (multiplicity 4)
9 Cr 0.0000 0.0000 0.4984 (multiplicity 2)

The 10 most intense peaks (10° ≤ 2θ ≤ 90°), by intensity:
- 36.2 deg, I = 100, (2 2 2)
- 36.3 deg, I = 49, (2 0 4)
- 34.1 deg, I = 39, (4 0 0)
- 31.7 deg, I = 25, (0 2 2)
- 67.9 deg, I = 18, (4 2 6)
- 62.4 deg, I = 18, (6 2 2)
- 56.8 deg, I = 17, (0 2 6)
- 47.3 deg, I = 15, (4 2 2)
- 69.0 deg, I = 13, (2 4 4)
- 31.9 deg, I = 12, (0 0 4)



No. 9
Starting from the GGA-PBE geometry in the Materials Project, the PXRD pattern of KCrN was computed for Cu Kα (weighted mean of Kα1 and Kα2).
Lines closer than 0.1° are merged.

Cell and atoms:
Cell lengths 5.5449, 3.2021, 5.9043 Å; angles 90.00, 91.06, 90.00 degrees
Space group Cm (No. 8)
One atom of each set of equivalent atoms:
1 K 0.0000 0.0000 0.0000 (multiplicity 2)
2 Cr 0.1807 0.5000 0.4669 (multiplicity 2)
3 N 0.3462 0.0000 0.3931 (multiplicity 2)

The 10 most intense peaks (10° ≤ 2θ ≤ 90°), by intensity:
- 30.3 deg, I = 100, (0 0 2)
- 35.6 deg, I = 84, (1 1 -1)
- 35.9 deg, I = 75, (1 1 1)
- 15.0 deg, I = 56, (0 0 1)
- 36.0 deg, I = 47, (2 0 1)
- 57.6 deg, I = 45, (0 2 0)
- 35.5 deg, I = 42, (2 0 -1)
- 32.3 deg, I = 32, (1 1 0)
- 44.6 deg, I = 26, (1 1 -2)
- 57.7 deg, I = 17, (1 1 3)



No. 10
Starting from the GGA-PBE geometry in the Materials Project, the PXRD pattern of KCr2S4 was computed for Cu Kα (weighted mean of Kα1 and Kα2).
Lines closer than 0.1° are merged.

Cell and atoms:
Cell lengths 6.9656, 15.2552, 5.9862 Å; angles 90.00, 90.00, 90.00 degrees
Space group Pmmn (No. 59, origin choice 2)
One atom of each set of equivalent atoms:
1 K 0.2500 0.2500 0.0314 (multiplicity 2)
2 K 0.2500 0.7500 0.3344 (multiplicity 2)
3 Cr 0.0000 0.0000 0.5000 (multiplicity 4)
4 Cr 0.2500 0.5014 0.0014 (multiplicity 4)
5 S 0.0012 0.0867 0.8386 (multiplicity 8)
6 S 0.2500 0.0853 0.3414 (multiplicity 4)
7 S 0.2500 0.5866 0.6658 (multiplicity 4)

The 10 most intense peaks (10° ≤ 2θ ≤ 90°), by intensity:
- 11.6 deg, I = 100, (0 2 0)
- 38.1 deg, I = 28, (2 4 1)
- 34.6 deg, I = 24, (2 3 1)
- 46.8 deg, I = 17, (2 6 1)
- 34.8 deg, I = 15, (0 3 2)
- 52.9 deg, I = 15, (2 0 3)
- 38.2 deg, I = 13, (0 4 2)
- 32.0 deg, I = 8, (2 2 1)
- 52.6 deg, I = 8, (4 0 0)
- 46.9 deg, I = 7, (0 6 2)



No. 11
Starting from the GGA-PBE geometry in the Materials Project, the PXRD pattern of KCr2S4 was computed for Cu Kα (weighted mean of Kα1 and Kα2).
Lines closer than 0.1° are merged.

Cell and atoms:
Cell lengths 13.2397, 3.4468, 13.9201 Å; angles 90.00, 90.00, 90.00 degrees
Space group Pnma (No. 62)
One atom of each set of equivalent atoms:
1 K 0.1109 0.2500 0.1188 (multiplicity 4)
2 Cr 0.0978 0.7500 0.4497 (multiplicity 4)
3 Cr 0.2070 0.7500 0.8660 (multiplicity 4)
4 S 0.0117 0.7500 0.5993 (multiplicity 4)
5 S 0.0921 0.2500 0.8815 (multiplicity 4)
6 S 0.1898 0.7500 0.2984 (multiplicity 4)
7 S 0.2129 0.2500 0.5073 (multiplicity 4)

The 10 most intense peaks (10° ≤ 2θ ≤ 90°), by intensity:
- 14.4 deg, I = 100, (1 0 2)
- 33.6 deg, I = 93, (3 1 1)
- 35.5 deg, I = 44, (3 1 2)
- 12.7 deg, I = 43, (0 0 2)
- 53.1 deg, I = 35, (0 2 0)
- 20.3 deg, I = 30, (1 0 3)
- 38.2 deg, I = 25, (3 0 5)
- 46.1 deg, I = 21, (4 1 4)
- 50.8 deg, I = 19, (5 1 4)
- 25.6 deg, I = 18, (0 0 4)



No. 12
Starting from the GGA-PBE geometry in the Materials Project, the PXRD pattern of KCrS2 was computed for Cu Kα (weighted mean of Kα1 and Kα2).
Lines closer than 0.1° are merged.

Cell and atoms:
Cell lengths 3.6741, 3.6741, 21.2298 Å; angles 90.00, 90.00, 120.00 degrees
Space group R-3m (No. 166, hexagonal axes)
One atom of each set of equivalent atoms:
1 K 0.0000 0.0000 0.0000 (multiplicity 3)
2 Cr 0.0000 0.0000 0.5000 (multiplicity 3)
3 S 0.0000 0.0000 0.2252 (multiplicity 6)

The 10 most intense peaks (10° ≤ 2θ ≤ 90°), by intensity:
- 32.8 deg, I = 100, (1 0 4)
- 12.5 deg, I = 32, (0 0 3)
- 49.6 deg, I = 32, (1 1 0)
- 44.5 deg, I = 24, (0 1 8)
- 60.8 deg, I = 14, (0 2 4)
- 41.1 deg, I = 12, (1 0 7)
- 51.7 deg, I = 12, (1 0 10)
- 82.2 deg, I = 11, (2 1 4)
- 25.2 deg, I = 9, (0 0 6)
- 68.6 deg, I = 8, (0 1 14)



No. 13
Starting from the GGA-PBE geometry in the Materials Project, the PXRD pattern of K3Cr11S18 was computed for Cu Kα (weighted mean of Kα1 and Kα2).
Lines closer than 0.1° are merged.

Cell and atoms:
Cell lengths 21.4725, 3.5201, 16.4718 Å; angles 90.00, 99.96, 90.00 degrees
Space group C2/m (No. 12)
One atom of each set of equivalent atoms:
1 K 0.0000 0.0000 0.0000 (multiplicity 2)
2 K 0.1967 0.5000 0.5887 (multiplicity 4)
3 Cr 0.0000 0.5000 0.5000 (multiplicity 2)
4 Cr 0.0324 0.0000 0.7568 (multiplicity 4)
5 Cr 0.0886 0.0000 0.3678 (multiplicity 4)
6 Cr 0.1541 0.5000 0.2217 (multiplicity 4)
7 Cr 0.1676 0.5000 0.8204 (multiplicity 4)
8 Cr 0.2082 0.0000 0.0703 (multiplicity 4)
9 S 0.0060 0.5000 0.3524 (multiplicity 4)
10 S 0.0640 0.5000 0.8520 (multiplicity 4)
11 S 0.0755 0.0000 0.2188 (multiplicity 4)
12 S 0.0795 0.0000 0.5084 (multiplicity 4)
13 S 0.1329 0.0000 0.7268 (multiplicity 4)
14 S 0.1335 0.5000 0.0740 (multiplicity 4)
15 S 0.1677 0.5000 0.3738 (multiplicity 4)
16 S 0.2083 0.0000 0.9240 (multiplicity 4)
17 S 0.2268 0.0000 0.2186 (multiplicity 4)

The 10 most intense peaks (10° ≤ 2θ ≤ 90°), by intensity:
- 33.0 deg, I = 100, (5 1 -1)
- 10.7 deg, I = 93, (2 0 1)
- 52.3 deg, I = 57, (7 1 -7)
- 41.5 deg, I = 56, (3 1 5)
- 32.7 deg, I = 48, (2 0 -6)
- 10.9 deg, I = 41, (0 0 2)
- 52.0 deg, I = 39, (0 2 0)
- 34.5 deg, I = 34, (1 1 4)
- 47.7 deg, I = 34, (9 1 1)
- 39.3 deg, I = 33, (7 1 0)